This entry pairs a crystal structure of Mn3TeO6 with its calculated powder diffractogram. Radiation: Cu Ka. Structure: the GGA+U geometry in Alexandria.
Neutral-atom scattering factors, no anomalous dispersion.

Structure:
```
data_Mn3TeO6
_chemical_formula_sum 'Mn6 Te2 O12'
_cell_length_a 6.506
_cell_length_b 6.506
_cell_length_c 6.506
_cell_angle_alpha 89.79
_cell_angle_beta 89.79
_cell_angle_gamma 89.79
_symmetry_space_group_name_H-M 'P 1'
_symmetry_Int_Tables_number 1
loop_
_symmetry_equiv_pos_as_xyz
'x,y,z'
loop_
_atom_site_label
_atom_site_fract_x
_atom_site_fract_y
_atom_site_fract_z
_atom_site_occupancy
Mn1 0.015 0.750 0.485 1
Mn2 0.250 0.515 0.985 1
Mn3 0.485 0.015 0.750 1
Mn4 0.515 0.985 0.250 1
Mn5 0.750 0.485 0.015 1
Mn6 0.985 0.250 0.515 1
Te1 0.000 0.000 0.000 1
Te2 0.500 0.500 0.500 1
O1 0.011 0.299 0.981 1
O2 0.019 0.989 0.701 1
O3 0.201 0.489 0.519 1
O4 0.299 0.981 0.011 1
O5 0.481 0.799 0.511 1
O6 0.489 0.519 0.201 1
O7 0.511 0.481 0.799 1
O8 0.519 0.201 0.489 1
O9 0.701 0.019 0.989 1
O10 0.799 0.511 0.481 1
O11 0.981 0.011 0.299 1
O12 0.989 0.701 0.019 1
```

Most intense lines, 2θ from 15° to 90°, in order of rising 2θ:
d 4.603, rel. 66; d 3.253, rel. 100; d 2.910, rel. 77; d 2.664, rel. 19; d 2.653, rel. 67; d 2.060, rel. 19; d 1.744, rel. 22; d 1.738, rel. 42; d 1.627, rel. 31; d 1.385, rel. 18